# 1
Structure and simulated powder diffractogram of ScSnS3 (the GGA-PBE geometry in Alexandria; Cu Kα).

Structural model:
abc: 6.5710 6.5710 6.5647
angles: 90.00 90.00 120.00
Space group P-6c2 (No. 188)
Unique sites:
Sc  0.0000  0.0000  0.0000 (multiplicity 2)
Sn  0.6667  0.3333  0.0000 (multiplicity 2)
S  0.3171  0.0185  0.2500 (multiplicity 6)

The 10 most intense peaks (10° ≤ 2θ ≤ 90°), low angle first:
d 5.691, I = 100
d 3.285, I = 33
d 2.938, I = 24
d 2.844, I = 46
d 2.322, I = 78
d 2.150, I = 36
d 1.897, I = 29
d 1.469, I = 23
d 1.241, I = 18
d 1.161, I = 19

# 2
Structure and simulated powder diffractogram of Cs2Ag2Pd (the GGA-PBE geometry in Alexandria; Cu Kα).

Structural model:
abc: 4.7972 4.7972 32.8227
angles: 90.00 90.00 120.00
Space group R-3m (No. 166, hexagonal axes)
Unique sites:
Cs  0.0000  0.0000  0.0756 (multiplicity 6)
Ag  0.0000  0.0000  0.1770 (multiplicity 6)
Pd  0.0000  0.0000  0.5000 (multiplicity 3)

The 10 most intense peaks (10° ≤ 2θ ≤ 90°), low angle first:
d 4.122, I = 59
d 3.647, I = 49
d 3.110, I = 71
d 2.919, I = 42
d 2.735, I = 32
d 2.399, I = 100
d 2.343, I = 45
d 2.004, I = 54
d 1.803, I = 55
d 1.595, I = 19

# 3
Structure and simulated powder diffractogram of Dy2SiO (the GGA-PBE geometry in Alexandria; Cu Kα).

Structural model:
abc: 5.719 5.629 11.603
angles: 90.00 115.74 90.00
Space group P2/c (No. 13)
Unique sites:
Dy  0.093  0.219  0.107 (multiplicity 4)
Dy  0.314  0.232  0.858 (multiplicity 4)
Si  0.391  0.269  0.374 (multiplicity 4)
O  0.053  0.178  0.622 (multiplicity 4)

The 10 most intense peaks (10° ≤ 2θ ≤ 90°), low angle first:
d 3.252, I = 93
d 3.112, I = 100
d 2.854, I = 60
d 2.815, I = 62
d 2.613, I = 48
d 2.004, I = 43
d 1.915, I = 34
d 1.868, I = 19
d 1.626, I = 18
d 1.556, I = 19

# 4
Structure and simulated powder diffractogram of Li15Mg6Ga (the GGA-PBE geometry in Alexandria; Cu Kα).

Structural model:
abc: 9.058 20.608 5.297
angles: 90.00 115.12 90.00
Space group C2/m (No. 12)
Unique sites:
Li  0.000  0.000  0.000 (multiplicity 2)
Li  0.000  0.136  0.000 (multiplicity 4)
Li  0.086  0.264  0.341 (multiplicity 8)
Li  0.166  0.000  0.747 (multiplicity 4)
Li  0.192  0.127  0.567 (multiplicity 8)
Li  0.250  0.250  0.000 (multiplicity 4)
Mg  0.106  0.379  0.827 (multiplicity 8)
Mg  0.180  0.500  0.599 (multiplicity 4)
Ga  0.000  0.500  0.000 (multiplicity 2)

The 10 most intense peaks (10° ≤ 2θ ≤ 90°), low angle first:
d 7.620, I = 100
d 3.486, I = 15
d 3.204, I = 13
d 2.735, I = 19
d 2.616, I = 12
d 2.576, I = 18
d 2.536, I = 12
d 2.449, I = 16
d 2.415, I = 16
d 2.212, I = 13

# 5
Structure and simulated powder diffractogram of Pm4Ho2Th3 (the GGA-PBE geometry in Alexandria; Cu Kα).

Structural model:
abc: 3.5788 3.5788 26.9458
angles: 90.00 90.00 120.00
Space group P3m1 (No. 156)
Unique sites:
Pm  0.0000  0.0000  0.0000 (multiplicity 1)
Pm  0.0000  0.0000  0.2182 (multiplicity 1)
Pm  0.3333  0.6667  0.3327 (multiplicity 1)
Pm  0.3333  0.6667  0.5529 (multiplicity 1)
Ho  0.0000  0.0000  0.6614 (multiplicity 1)
Ho  0.0000  0.0000  0.8747 (multiplicity 1)
Th  0.0000  0.0000  0.4422 (multiplicity 1)
Th  0.3333  0.6667  0.1080 (multiplicity 1)
Th  0.3333  0.6667  0.7703 (multiplicity 1)

The 10 most intense peaks (10° ≤ 2θ ≤ 90°), low angle first:
d 3.099, I = 50
d 2.994, I = 57
d 2.816, I = 79
d 2.687, I = 100
d 2.153, I = 35
d 1.789, I = 41
d 1.635, I = 29
d 1.536, I = 48
d 1.489, I = 18
d 1.148, I = 16

# 6
Structure and simulated powder diffractogram of Tb3SmIr8 (the GGA-PBE geometry in Alexandria; Cu Kα).

Structural model:
abc: 5.3834 5.3834 8.7485
angles: 90.00 90.00 120.00
Space group P3m1 (No. 156)
Unique sites:
Tb  0.0000  0.0000  0.0000 (multiplicity 1)
Tb  0.0000  0.0000  0.3647 (multiplicity 1)
Tb  0.3333  0.6667  0.8659 (multiplicity 1)
Sm  0.3333  0.6667  0.5004 (multiplicity 1)
Ir  0.0059  0.5029  0.1818 (multiplicity 3)
Ir  0.3272  0.1636  0.6839 (multiplicity 3)
Ir  0.6667  0.3333  0.4325 (multiplicity 1)
Ir  0.6667  0.3333  0.9327 (multiplicity 1)

The 10 most intense peaks (10° ≤ 2θ ≤ 90°), low angle first:
d 2.692, I = 22
d 2.472, I = 66
d 2.292, I = 99
d 2.252, I = 100
d 2.187, I = 22
d 2.057, I = 29
d 1.508, I = 26
d 1.464, I = 25
d 1.399, I = 32
d 1.346, I = 31

# 7
Structure and simulated powder diffractogram of CsZnGePSeBr (the GGA-PBE geometry in Alexandria; Cu Kα).

Structural model:
abc: 5.773 4.413 8.210
angles: 90.00 104.36 90.00
Space group Pm (No. 6)
Unique sites:
Cs  0.000  0.000  0.000 (multiplicity 1)
Zn  0.556  0.000  0.401 (multiplicity 1)
Ge  0.177  0.500  0.536 (multiplicity 1)
P  0.390  0.500  0.332 (multiplicity 1)
Se  0.984  0.000  0.553 (multiplicity 1)
Br  0.459  0.500  0.851 (multiplicity 1)

The 10 most intense peaks (10° ≤ 2θ ≤ 90°), low angle first:
d 3.977, I = 72
d 3.704, I = 89
d 3.465, I = 100
d 3.372, I = 98
d 3.011, I = 32
d 2.954, I = 39
d 2.917, I = 56
d 2.796, I = 37
d 2.207, I = 48
d 1.866, I = 45

# 8
Structure and simulated powder diffractogram of Tm5Sc12In2 (the GGA-PBE geometry in Alexandria; Cu Kα).

Structural model:
abc: 14.808 8.555 7.808
angles: 90.00 90.70 90.00
Space group C2/m (No. 12)
Unique sites:
Tm  0.000  0.000  0.000 (multiplicity 2)
Tm  0.195  0.500  0.500 (multiplicity 4)
Tm  0.238  0.000  0.078 (multiplicity 4)
Sc  0.051  0.500  0.830 (multiplicity 4)
Sc  0.089  0.000  0.394 (multiplicity 4)
Sc  0.125  0.304  0.161 (multiplicity 8)
Sc  0.151  0.184  0.741 (multiplicity 8)
In  0.000  0.314  0.500 (multiplicity 4)

The 10 most intense peaks (10° ≤ 2θ ≤ 90°), low angle first:
d 5.391, I = 47
d 4.277, I = 40
d 3.703, I = 36
d 2.883, I = 32
d 2.868, I = 37
d 2.697, I = 41
d 2.670, I = 32
d 2.643, I = 100
d 2.628, I = 46
d 2.460, I = 42

# 9
Structure and simulated powder diffractogram of Sm9Dy11Tm4 (the GGA-PBE geometry in Alexandria; Cu Kα).

Structural model:
abc: 16.717 25.404 3.670
angles: 90.00 90.00 90.00
Space group Cmmm (No. 65)
Unique sites:
Sm  0.000  0.000  0.000 (multiplicity 2)
Sm  0.103  0.233  0.000 (multiplicity 8)
Sm  0.141  0.426  0.000 (multiplicity 8)
Dy  0.000  0.131  0.500 (multiplicity 4)
Dy  0.000  0.339  0.500 (multiplicity 4)
Dy  0.000  0.500  0.500 (multiplicity 2)
Dy  0.209  0.000  0.500 (multiplicity 4)
Dy  0.225  0.319  0.500 (multiplicity 8)
Tm  0.156  0.101  0.000 (multiplicity 8)

The 10 most intense peaks (10° ≤ 2θ ≤ 90°), low angle first:
d 2.973, I = 100
d 2.882, I = 23
d 2.790, I = 12
d 2.783, I = 19
d 2.773, I = 67
d 2.758, I = 68
d 2.721, I = 11
d 1.835, I = 18
d 1.562, I = 23
d 1.511, I = 13

# 10
Structure and simulated powder diffractogram of LiYMg5 (the GGA-PBE geometry in Alexandria; Cu Kα).

Structural model:
abc: 5.599 9.185 6.941
angles: 90.00 108.83 90.00
Space group C2/m (No. 12)
Unique sites:
Li  0.000  0.000  0.000 (multiplicity 2)
Y  0.000  0.500  0.500 (multiplicity 2)
Mg  0.000  0.500  0.000 (multiplicity 2)
Mg  0.104  0.190  0.732 (multiplicity 8)

The 10 most intense peaks (10° ≤ 2θ ≤ 90°), low angle first:
d 6.570, I = 52
d 4.590, I = 70
d 3.349, I = 34
d 3.115, I = 63
d 2.789, I = 33
d 2.672, I = 85
d 2.651, I = 100
d 2.609, I = 38
d 2.375, I = 34
d 2.296, I = 27

# 11
Structure and simulated powder diffractogram of SrGa2S4 (the GGA-PBE geometry in Alexandria; Cu Kα).

Structural model:
abc: 12.343 20.751 21.197
angles: 90.00 90.00 90.00
Space group Fddd (No. 70, origin choice 2)
Unique sites:
Sr  0.125  0.125  0.125 (multiplicity 8)
Sr  0.125  0.125  0.373 (multiplicity 16)
Sr  0.125  0.125  0.625 (multiplicity 8)
Ga  0.086  0.303  0.250 (multiplicity 32)
Ga  0.123  0.263  0.750 (multiplicity 32)
S  0.001  0.000  0.582 (multiplicity 32)
S  0.001  0.000  0.918 (multiplicity 32)
S  0.006  0.345  0.499 (multiplicity 32)
S  0.016  0.077  0.751 (multiplicity 32)

The 10 most intense peaks (10° ≤ 2θ ≤ 90°), low angle first:
d 5.300, I = 38
d 3.749, I = 100
d 3.707, I = 27
d 3.017, I = 49
d 2.901, I = 23
d 2.650, I = 39
d 2.372, I = 86
d 2.330, I = 16
d 1.991, I = 29
d 1.887, I = 16

# 12
Structure and simulated powder diffractogram of NpAg3 (the GGA-PBE geometry in Alexandria; Cu Kα).

Structural model:
abc: 2.865 5.101 5.637
angles: 90.00 90.00 90.00
Space group Pmm2 (No. 25)
Unique sites:
Np  0.000  0.000  0.000 (multiplicity 1)
Ag  0.000  0.500  0.677 (multiplicity 1)
Ag  0.500  0.000  0.501 (multiplicity 1)
Ag  0.500  0.500  0.221 (multiplicity 1)

The 10 most intense peaks (10° ≤ 2θ ≤ 90°), low angle first:
d 3.782, I = 19
d 2.552, I = 89
d 2.467, I = 82
d 2.284, I = 100
d 1.805, I = 27
d 1.571, I = 20
d 1.456, I = 15
d 1.415, I = 21
d 1.338, I = 23
d 1.239, I = 18